1.
Theoretical powder XRD pattern
Compound: Cs2SmSiO4
Radiation: Cu Kα X-rays
Structure: DFT lattice parameters and positions (PBE)
Intensities are scaled so that the largest is 100.

Atomic structure:
a = 5.7844 Å, b = 13.0740 Å, c = 25.3646 Å
α = 90.00°, β = 90.00°, γ = 90.00°
Space group Fddd (No. 70, origin choice 2)
Symmetry-distinct sites (fractional):
Cs (0.1250, 0.1250, 0.3056) [16 per cell]
Sm (0.1250, 0.1250, 0.1250) [8 per cell]
Si (0.1250, 0.1250, 0.6250) [8 per cell]
O (0.0555, 0.3009, 0.8405) [32 per cell]

Peak list (8 most intense, 2θ from 5° to 70°, by angle)
2theta	I_rel
13.97	39
17.12	54
24.31	54
25.09	100
27.29	41
31.16	49
33.89	45
47.15	34

2.
Theoretical powder XRD pattern
Compound: CsSiTc2O8
Radiation: Cu Kα X-rays
Structure: DFT lattice parameters and positions (PBE)
Intensities are scaled so that the largest is 100.

Atomic structure:
a = 5.4605 Å, b = 5.4605 Å, c = 26.9885 Å
α = 90.00°, β = 90.00°, γ = 120.00°
Space group R-3m (No. 166, hexagonal axes)
Symmetry-distinct sites (fractional):
Cs (0.0000, 0.0000, 0.0000) [3 per cell]
Si (0.0000, 0.0000, 0.5000) [3 per cell]
Tc (0.0000, 0.0000, 0.2280) [6 per cell]
O (0.0000, 0.0000, 0.2931) [6 per cell]
O (0.0319, 0.5160, 0.1274) [18 per cell]

Peak list (8 most intense, 2θ from 5° to 70°, by angle)
2theta	I_rel
22.97	100
25.03	23
29.79	13
32.60	11
32.80	35
44.90	14
47.85	10
53.00	18